Simulated X-ray powder pattern of YZn4Ni for λ = 1.5418 Å (Cu Kα), from the GGA-PBE geometry in Alexandria.

Atomic structure:
Lattice parameters (Å, degrees): 7.619 3.913 6.760 90.00 90.00 90.00
Atoms (fractional coordinates):
Y (0.250, 0.000, 0.110)
Y (0.750, 0.000, 0.890)
Zn (0.000, 0.000, 0.500)
Zn (0.058, 0.500, 0.805)
Zn (0.250, 0.500, 0.454)
Zn (0.442, 0.500, 0.805)
Zn (0.500, 0.000, 0.500)
Zn (0.558, 0.500, 0.195)
Zn (0.750, 0.500, 0.546)
Zn (0.942, 0.500, 0.195)
Ni (0.250, 0.000, 0.708)
Ni (0.750, 0.000, 0.292)

Peak list (8 most intense, 2θ = 5–70°, sorted by position)
35.47 deg, d 2.531, I = 1000; 37.08 deg, d 2.425, I = 619; 40.02 deg, d 2.253, I = 191; 41.81 deg, d 2.161, I = 248; 42.58 deg, d 2.123, I = 715; 44.61 deg, d 2.031, I = 333; 46.43 deg, d 1.956, I = 464; 47.75 deg, d 1.905, I = 197


Simulated X-ray powder pattern of Y3Zn2Ni for λ = 1.5418 Å (Cu Kα), from the GGA-PBE geometry in Alexandria.

Atomic structure:
Lattice parameters (Å, degrees): 12.038 4.532 9.936 90.00 90.00 90.00
Atoms (fractional coordinates):
Y (0.059, 0.250, 0.110)
Y (0.106, 0.750, 0.566)
Y (0.240, 0.250, 0.787)
Y (0.260, 0.750, 0.287)
Y (0.394, 0.250, 0.066)
Y (0.441, 0.750, 0.610)
Y (0.559, 0.250, 0.390)
Y (0.606, 0.750, 0.934)
Y (0.740, 0.250, 0.713)
Y (0.760, 0.750, 0.213)
Y (0.894, 0.250, 0.434)
Y (0.941, 0.750, 0.890)
Zn (0.012, 0.750, 0.290)
Zn (0.199, 0.750, 0.988)
Zn (0.301, 0.250, 0.488)
Zn (0.488, 0.250, 0.790)
Zn (0.512, 0.750, 0.210)
Zn (0.699, 0.750, 0.512)
Zn (0.801, 0.250, 0.012)
Zn (0.988, 0.250, 0.710)
Ni (0.119, 0.250, 0.373)
Ni (0.381, 0.750, 0.873)
Ni (0.619, 0.250, 0.127)
Ni (0.881, 0.750, 0.627)

Peak list (8 most intense, 2θ = 5–70°, sorted by position)
28.60 deg, d 3.122, I = 210; 30.55 deg, d 2.926, I = 184; 31.09 deg, d 2.877, I = 413; 33.51 deg, d 2.674, I = 1000; 34.88 deg, d 2.572, I = 503; 36.98 deg, d 2.431, I = 733; 39.78 deg, d 2.266, I = 590; 44.22 deg, d 2.048, I = 176


Simulated X-ray powder pattern of YZn2Ni2 for λ = 1.5418 Å (Cu Kα), from the GGA-PBE geometry in Alexandria.

Atomic structure:
Lattice parameters (Å, degrees): 5.896 5.896 5.896 140.80 140.80 56.63
Atoms (fractional coordinates):
Y (0.000, 0.000, 0.000)
Zn (0.381, 0.381, 0.000)
Zn (0.619, 0.619, 0.000)
Ni (0.250, 0.750, 0.500)
Ni (0.750, 0.250, 0.500)

Peak list (8 most intense, 2θ = 5–70°, sorted by position)
34.44 deg, d 2.604, I = 715; 36.49 deg, d 2.462, I = 1000; 45.88 deg, d 1.978, I = 635; 47.81 deg, d 1.902, I = 277; 49.59 deg, d 1.838, I = 328; 58.62 deg, d 1.575, I = 319; 66.91 deg, d 1.398, I = 192; 69.86 deg, d 1.346, I = 223


Simulated X-ray powder pattern of YZn2Ni9 for λ = 1.5418 Å (Cu Kα), from the GGA-PBE geometry in Alexandria.

Atomic structure:
Lattice parameters (Å, degrees): 8.057 8.057 4.736 90.00 90.00 90.00
Atoms (fractional coordinates):
Y (0.000, 0.000, 0.000)
Y (0.500, 0.500, 0.000)
Zn (0.118, 0.382, 0.000)
Zn (0.382, 0.882, 0.000)
Zn (0.618, 0.118, 0.000)
Zn (0.882, 0.618, 0.000)
Ni (0.000, 0.500, 0.500)
Ni (0.064, 0.210, 0.500)
Ni (0.179, 0.679, 0.242)
Ni (0.179, 0.679, 0.758)
Ni (0.210, 0.936, 0.500)
Ni (0.290, 0.436, 0.500)
Ni (0.321, 0.179, 0.242)
Ni (0.321, 0.179, 0.758)
Ni (0.436, 0.710, 0.500)
Ni (0.500, 0.000, 0.500)
Ni (0.564, 0.290, 0.500)
Ni (0.679, 0.821, 0.242)
Ni (0.679, 0.821, 0.758)
Ni (0.710, 0.564, 0.500)
Ni (0.790, 0.064, 0.500)
Ni (0.821, 0.321, 0.242)
Ni (0.821, 0.321, 0.758)
Ni (0.936, 0.790, 0.500)

Peak list (8 most intense, 2θ = 5–70°, sorted by position)
36.82 deg, d 2.441, I = 263; 38.00 deg, d 2.368, I = 151; 40.19 deg, d 2.244, I = 1000; 44.37 deg, d 2.042, I = 399; 44.85 deg, d 2.021, I = 483; 45.85 deg, d 1.979, I = 914; 46.47 deg, d 1.954, I = 633; 47.90 deg, d 1.899, I = 193


Simulated X-ray powder pattern of Y12ZnNi6 for λ = 1.5418 Å (Cu Kα), from the GGA-PBE geometry in Alexandria.

Atomic structure:
Lattice parameters (Å, degrees): 8.402 8.402 8.402 109.47 109.47 109.47
Atoms (fractional coordinates):
Y (0.114, 0.301, 0.813)
Y (0.187, 0.487, 0.301)
Y (0.187, 0.886, 0.699)
Y (0.301, 0.187, 0.487)
Y (0.301, 0.813, 0.114)
Y (0.487, 0.301, 0.187)
Y (0.513, 0.699, 0.813)
Y (0.699, 0.187, 0.886)
Y (0.699, 0.813, 0.513)
Y (0.813, 0.114, 0.301)
Y (0.813, 0.513, 0.699)
Y (0.886, 0.699, 0.187)
Zn (0.000, 0.000, 0.000)
Ni (0.123, 0.500, 0.623)
Ni (0.377, 0.877, 0.500)
Ni (0.500, 0.377, 0.877)
Ni (0.500, 0.623, 0.123)
Ni (0.623, 0.123, 0.500)
Ni (0.877, 0.500, 0.377)

Peak list (8 most intense, 2θ = 5–70°, sorted by position)
29.11 deg, d 3.068, I = 175; 31.96 deg, d 2.801, I = 319; 34.60 deg, d 2.593, I = 1000; 37.07 deg, d 2.425, I = 145; 47.81 deg, d 1.903, I = 235; 55.21 deg, d 1.664, I = 234; 58.66 deg, d 1.574, I = 245; 68.38 deg, d 1.372, I = 149


Simulated X-ray powder pattern of Y4ZnNi3 for λ = 1.5418 Å (Cu Kα), from the GGA-PBE geometry in Alexandria.

Atomic structure:
Lattice parameters (Å, degrees): 3.741 4.319 10.446 90.00 90.00 90.00
Atoms (fractional coordinates):
Y (0.000, 0.000, 0.000)
Y (0.000, 0.500, 0.267)
Y (0.500, 0.000, 0.480)
Y (0.500, 0.500, 0.775)
Zn (0.000, 0.000, 0.700)
Ni (0.000, 0.500, 0.560)
Ni (0.500, 0.000, 0.203)
Ni (0.500, 0.500, 0.062)

Peak list (8 most intense, 2θ = 5–70°, sorted by position)
32.81 deg, d 2.729, I = 1000; 34.34 deg, d 2.611, I = 206; 35.21 deg, d 2.549, I = 384; 40.36 deg, d 2.235, I = 285; 41.12 deg, d 2.195, I = 624; 41.83 deg, d 2.160, I = 321; 48.68 deg, d 1.870, I = 203; 55.80 deg, d 1.648, I = 196


Simulated X-ray powder pattern of YZn10Ni2 for λ = 1.5418 Å (Cu Kα), from the GGA-PBE geometry in Alexandria.

Atomic structure:
Lattice parameters (Å, degrees): 6.753 6.753 8.666 90.00 90.00 98.74
Atoms (fractional coordinates):
Y (0.127, 0.873, 0.750)
Y (0.873, 0.127, 0.250)
Zn (0.140, 0.401, 0.750)
Zn (0.153, 0.847, 0.099)
Zn (0.153, 0.847, 0.401)
Zn (0.220, 0.475, 0.250)
Zn (0.227, 0.227, 0.000)
Zn (0.227, 0.227, 0.500)
Zn (0.375, 0.625, 0.544)
Zn (0.375, 0.625, 0.956)
Zn (0.401, 0.140, 0.250)
Zn (0.475, 0.220, 0.750)
Zn (0.525, 0.780, 0.250)
Zn (0.599, 0.860, 0.750)
Zn (0.625, 0.375, 0.044)
Zn (0.625, 0.375, 0.456)
Zn (0.773, 0.773, 0.000)
Zn (0.773, 0.773, 0.500)
Zn (0.780, 0.525, 0.750)
Zn (0.847, 0.153, 0.599)
Zn (0.847, 0.153, 0.901)
Zn (0.860, 0.599, 0.250)
Ni (0.000, 0.500, 0.000)
Ni (0.000, 0.500, 0.500)
Ni (0.500, 0.000, 0.000)
Ni (0.500, 0.000, 0.500)

Peak list (8 most intense, 2θ = 5–70°, sorted by position)
35.68 deg, d 2.517, I = 326; 38.09 deg, d 2.363, I = 514; 40.76 deg, d 2.214, I = 386; 40.92 deg, d 2.206, I = 507; 41.05 deg, d 2.199, I = 429; 41.34 deg, d 2.184, I = 699; 41.69 deg, d 2.167, I = 359; 46.06 deg, d 1.971, I = 1000


Simulated X-ray powder pattern of Y2ZrNi9 for λ = 1.5418 Å (Cu Kα), from the GGA-PBE geometry in Alexandria.

Atomic structure:
Lattice parameters (Å, degrees): 8.625 8.625 8.625 33.01 33.01 33.01
Atoms (fractional coordinates):
Y (0.137, 0.137, 0.137)
Y (0.863, 0.863, 0.863)
Zr (0.000, 0.000, 0.000)
Ni (0.080, 0.581, 0.581)
Ni (0.333, 0.333, 0.333)
Ni (0.419, 0.419, 0.920)
Ni (0.419, 0.920, 0.419)
Ni (0.500, 0.500, 0.500)
Ni (0.581, 0.080, 0.581)
Ni (0.581, 0.581, 0.080)
Ni (0.667, 0.667, 0.667)
Ni (0.920, 0.419, 0.419)

Peak list (8 most intense, 2θ = 5–70°, sorted by position)
33.22 deg, d 2.697, I = 278; 36.23 deg, d 2.480, I = 334; 36.68 deg, d 2.450, I = 366; 42.77 deg, d 2.114, I = 377; 43.08 deg, d 2.100, I = 1000; 44.48 deg, d 2.037, I = 194; 46.11 deg, d 1.969, I = 164; 46.66 deg, d 1.947, I = 288